# LaCu2SeO2
Theoretical X-ray powder pattern, Cu Kα (λ = 1.5418 Å). Input: a GGA-PBE-relaxed structure.

Crystal structure
```
data_LaCu2SeO2
_cell_length_a 6.3880
_cell_length_b 5.4533
_cell_length_c 6.5132
_cell_angle_alpha 90.00
_cell_angle_beta 113.51
_cell_angle_gamma 90.00
_symmetry_space_group_name_H-M 'P 1'
_symmetry_Int_Tables_number 1
_symmetry_space_group_name_Hall 'P 1'
loop_
_atom_site_label
_atom_site_type_symbol
_atom_site_fract_x
_atom_site_fract_y
_atom_site_fract_z
La1 La 0.1010 0.2500 0.2309
La2 La 0.8990 0.7500 0.7691
Cu1 Cu 0.2778 0.2500 0.8224
Cu2 Cu 0.3509 0.7500 0.2231
Cu3 Cu 0.6491 0.2500 0.7769
Cu4 Cu 0.7222 0.7500 0.1776
Se1 Se 0.2985 0.7500 0.5570
Se2 Se 0.7015 0.2500 0.4430
O1 O 0.2165 0.5009 0.9947
O2 O 0.2165 0.9991 0.9947
O3 O 0.7835 0.0009 0.0053
O4 O 0.7835 0.4991 0.0053
```

Most intense lines, 2θ = 5–70°, by angle:
2θ = 16.4°, intensity 20, (1 0 -1); 2θ = 29.9°, intensity 17, (0 0 2); 2θ = 30.1°, intensity 100, (1 1 1); 2θ = 32.2°, intensity 47, (1 1 -2); 2θ = 32.6°, intensity 19, (2 1 -1); 2θ = 32.8°, intensity 64, (0 2 0); 2θ = 34.8°, intensity 51, (2 1 0); 2θ = 37.2°, intensity 55, (2 1 -2); 2θ = 45.0°, intensity 31, (0 2 2); 2θ = 57.0°, intensity 26, (1 3 1)